Record 1
Diffraction record for Tl3Pt2Se4. The powder XRD pattern is computed, not measured: it uses DFT lattice parameters and positions (PBE) and Cu Kα (weighted mean of Kα1 and Kα2).
Neutral-atom scattering factors, no anomalous dispersion.

Top 10 peaks for 10° ≤ 2θ ≤ 90°, most intense first:
2θ = 33.90°, intensity 100.0; 2θ = 23.69°, intensity 97.2; 2θ = 35.45°, intensity 70.4; 2θ = 29.56°, intensity 61.9; 2θ = 12.33°, intensity 56.7; 2θ = 34.97°, intensity 40.9; 2θ = 45.35°, intensity 40.3; 2θ = 32.13°, intensity 39.6; 2θ = 25.64°, intensity 33.4; 2θ = 16.52°, intensity 33.1

a b c (Å): 14.445 11.195 6.460
angles (deg): 90.00 96.15 90.00
Space group C2/c (No. 15)
One atom of each set of equivalent atoms:
Tl 0.000 0.198 0.250 (multiplicity 4)
Tl 0.155 0.438 0.056 (multiplicity 8)
Pt 0.178 0.115 0.566 (multiplicity 8)
Se 0.103 0.058 0.877 (multiplicity 8)
Se 0.247 0.204 0.265 (multiplicity 8)

Record 2
Diffraction record for K6In3Br14. The powder XRD pattern is computed, not measured: it uses DFT lattice parameters and positions (PBE) and Cu Kα (weighted mean of Kα1 and Kα2).
Neutral-atom scattering factors, no anomalous dispersion.

Top 10 peaks for 10° ≤ 2θ ≤ 90°, most intense first:
2θ = 26.00°, intensity 100.0; 2θ = 30.51°, intensity 68.8; 2θ = 14.53°, intensity 62.6; 2θ = 15.69°, intensity 59.9; 2θ = 28.66°, intensity 59.5; 2θ = 31.69°, intensity 53.3; 2θ = 29.29°, intensity 42.6; 2θ = 46.70°, intensity 42.2; 2θ = 28.01°, intensity 33.8; 2θ = 22.27°, intensity 33.2

a b c (Å): 12.1963 12.1963 6.6820
angles (deg): 90.00 90.00 120.00
Space group P3 (No. 143)
One atom of each set of equivalent atoms:
K 0.0092 0.4541 0.0000 (multiplicity 3)
K 0.3240 0.2143 0.4736 (multiplicity 3)
In 0.0000 0.0000 0.0733 (multiplicity 1)
In 0.3333 0.6667 0.5909 (multiplicity 1)
In 0.6667 0.3333 0.7248 (multiplicity 1)
Br 0.0000 0.0000 0.6948 (multiplicity 1)
Br 0.0818 0.2219 0.2184 (multiplicity 3)
Br 0.1950 0.7515 0.7297 (multiplicity 3)
Br 0.3333 0.6667 0.2105 (multiplicity 1)
Br 0.4274 0.2491 0.9548 (multiplicity 3)
Br 0.5104 0.0942 0.4936 (multiplicity 3)

Record 3
Diffraction record for La2Cd3Hg6. The powder XRD pattern is computed, not measured: it uses DFT lattice parameters and positions (PBE) and Cu Kα (weighted mean of Kα1 and Kα2).
Neutral-atom scattering factors, no anomalous dispersion.

Top 10 peaks for 10° ≤ 2θ ≤ 90°, most intense first:
2θ = 30.91°, intensity 100.0; 2θ = 32.47°, intensity 75.0; 2θ = 32.32°, intensity 68.1; 2θ = 35.57°, intensity 53.3; 2θ = 39.48°, intensity 41.6; 2θ = 22.05°, intensity 38.5; 2θ = 40.11°, intensity 32.2; 2θ = 44.97°, intensity 31.1; 2θ = 56.46°, intensity 28.3; 2θ = 68.94°, intensity 24.9

a b c (Å): 9.944 15.123 4.031
angles (deg): 90.00 90.00 90.00
Space group Cmmm (No. 65)
One atom of each set of equivalent atoms:
La 0.211 0.000 0.000 (multiplicity 4)
Cd 0.000 0.253 0.000 (multiplicity 4)
Cd 0.000 0.500 0.500 (multiplicity 2)
Hg 0.000 0.110 0.500 (multiplicity 4)
Hg 0.188 0.340 0.500 (multiplicity 8)